Entry 1:
Calculated PXRD pattern
Compound: La5CuPb3
Radiation: Cu Kα X-rays
Structure: the PBE geometry in the Materials Project

Structural model:
a = 9.7547 Å, b = 9.7547 Å, c = 7.1341 Å
α = 90.00°, β = 90.00°, γ = 120.00°
Space group P6_3/mcm (No. 193)
Asymmetric unit:
La: 0.0000 0.2524 0.2500 x6
La: 0.3333 0.6667 0.0000 x4
Cu: 0.0000 0.0000 0.0000 x2
Pb: 0.0000 0.3943 0.7500 x6

Most intense lines, 2θ from 10° to 80°, by angle:
d [Å], two_theta, I_rel, index
3.567, 24.96, 23, 0 0 2
2.914, 30.68, 100, 2 1 1
2.879, 31.06, 99, 1 1 2
2.816, 31.78, 61, 3 0 0
2.226, 40.53, 30, 3 1 1
2.013, 45.03, 20, 2 2 2
1.907, 47.68, 30, 2 1 3
1.558, 59.32, 15, 4 2 1
1.527, 60.65, 17, 5 0 2
1.507, 61.55, 19, 3 0 4

Entry 2:
Calculated PXRD pattern
Compound: KSi2HO5
Radiation: Cu Kα X-rays
Structure: the PBE geometry in the Materials Project

Structural model:
a = 12.650 Å, b = 4.873 Å, c = 8.337 Å
α = 90.00°, β = 90.00°, γ = 90.00°
Space group Pna2_1 (No. 33)
Asymmetric unit:
K: 0.042 0.039 0.000 x4
Si: 0.183 0.533 0.690 x4
Si: 0.193 0.530 0.314 x4
H: 0.014 0.526 0.251 x4
O: 0.071 0.654 0.743 x4
O: 0.081 0.665 0.256 x4
O: 0.189 0.431 0.502 x4
O: 0.211 0.254 0.795 x4
O: 0.218 0.254 0.209 x4

Most intense lines, 2θ from 10° to 80°, by angle:
d [Å], two_theta, I_rel, index
6.325, 14.00, 29, 2 0 0
4.168, 21.32, 31, 0 0 2
3.992, 22.27, 91, 1 1 1
3.480, 25.59, 51, 2 0 2
3.189, 27.98, 100, 3 1 0
3.073, 29.06, 96, 1 1 2
2.957, 30.23, 42, 4 0 1
2.084, 43.41, 19, 0 0 4
1.880, 48.41, 22, 4 2 1
1.660, 55.33, 15, 7 1 1